InSnMoO6: simulated powder diffractogram (λ = 1.5418 Å (Cu Kα)), based on DFT lattice parameters and positions (GGA+U).

Principal peaks in the range 2θ from 5° to 70°, sorted by position:
hkl 1 1 0, 26.23 deg, I = 100; hkl 1 0 3, 33.14 deg, I = 83; hkl 2 0 0, 37.43 deg, I = 22; hkl 2 1 3, 50.84 deg, I = 68; hkl 2 2 0, 53.98 deg, I = 17; hkl 0 0 6, 56.26 deg, I = 8; hkl 3 1 0, 60.98 deg, I = 15; hkl 1 1 6, 63.10 deg, I = 16; hkl 3 0 3, 64.82 deg, I = 20; hkl 2 0 6, 69.54 deg, I = 8

Cell and atoms:
Lattice parameters (Å, degrees): 4.8050 4.8050 9.8107 90.00 90.00 90.00
Sites, in units of the cell vectors:
In1 0.0000 0.0000 0.0000
In2 0.5000 0.5000 0.5000
Sn1 0.0000 0.0000 0.6666
Sn2 0.5000 0.5000 0.1666
Mo1 0.0000 0.0000 0.3338
Mo2 0.5000 0.5000 0.8338
O1 0.1851 0.1851 0.4941
O2 0.1955 0.1955 0.1765
O3 0.2098 0.2098 0.8266
O4 0.2902 0.7098 0.3266
O5 0.3045 0.6955 0.6765
O6 0.3149 0.6851 0.9941
O7 0.6851 0.3149 0.9941
O8 0.6955 0.3045 0.6765
O9 0.7098 0.2902 0.3266
O10 0.7902 0.7902 0.8266
O11 0.8045 0.8045 0.1765
O12 0.8149 0.8149 0.4941